(1)
Diffraction record for Ti2MnRh. The powder diffraction line list is computed, not measured: it uses a PBE-relaxed structure and Cu Kα (λ = 1.5418 Å).
No peak broadening, texture or thermal motion is included.

Cell and atoms:
Lattice parameters (Å, degrees): 4.3020 4.3020 4.3020 60.00 60.00 60.00
Fractional positions:
Ti1 0.2500 0.2500 0.2500
Ti2 0.7500 0.7500 0.7500
Mn1 0.0000 0.0000 0.0000
Rh1 0.5000 0.5000 0.5000

The 6 most intense peaks (2θ from 10° to 90°), sorted by position:
two_theta, Rel. int.
25.4, 10
29.4, 9
42.0, 100
49.7, 5
60.9, 15
76.7, 30

=====

(2)
Diffraction record for Mg5Cd. The powder diffraction line list is computed, not measured: it uses a PBE-relaxed structure and Cu Kα (λ = 1.5418 Å).
No peak broadening, texture or thermal motion is included.

Cell and atoms:
Lattice parameters (Å, degrees): 6.0278 6.0278 7.4548 103.94 103.94 30.77
Fractional positions:
Mg1 0.0000 0.0000 0.0000
Mg2 0.0552 0.0552 0.6126
Mg3 0.3317 0.3317 0.6673
Mg4 0.3873 0.3873 0.2766
Mg5 0.6656 0.6656 0.3334
Cd1 0.7219 0.7219 0.9455

The 6 most intense peaks (2θ from 10° to 90°), sorted by position:
two_theta, Rel. int.
12.3, 80
15.7, 47
32.4, 44
35.2, 49
36.9, 79
37.1, 100

=====

(3)
Diffraction record for NpN. The powder diffraction line list is computed, not measured: it uses a PBE-relaxed structure and Cu Kα (λ = 1.5418 Å).
No peak broadening, texture or thermal motion is included.

Cell and atoms:
Lattice parameters (Å, degrees): 3.7123 3.7123 3.7123 60.00 60.00 60.00
Fractional positions:
Np1 0.0000 0.0000 0.0000
N1 0.7500 0.7500 0.7500

The 6 most intense peaks (2θ from 10° to 90°), sorted by position:
two_theta, Rel. int.
29.5, 100
34.2, 45
49.1, 42
58.3, 46
79.6, 19
82.1, 17

=====

(4)
Diffraction record for AgN. The powder diffraction line list is computed, not measured: it uses a PBE-relaxed structure and Cu Kα (λ = 1.5418 Å).
No peak broadening, texture or thermal motion is included.

Cell and atoms:
Lattice parameters (Å, degrees): 3.1538 3.1538 2.9395 90.00 90.00 120.00
Fractional positions:
Ag1 0.0000 0.0000 0.0000
N1 0.3333 0.6667 0.5000

The 6 most intense peaks (2θ from 10° to 90°), sorted by position:
two_theta, Rel. int.
30.4, 35
32.8, 100
45.3, 99
58.5, 24
67.4, 21
77.0, 19

=====

(5)
Diffraction record for BaZrP2O8. The powder diffraction line list is computed, not measured: it uses a PBE-relaxed structure and Cu Kα (λ = 1.5418 Å).
No peak broadening, texture or thermal motion is included.

Cell and atoms:
Lattice parameters (Å, degrees): 5.3362 5.3362 7.7073 90.00 90.00 120.00
Fractional positions:
Ba1 0.0000 0.0000 0.0000
Zr1 0.0000 0.0000 0.5000
P1 0.3333 0.6667 0.7416
P2 0.6667 0.3333 0.2584
O1 0.1759 0.3519 0.6700
O2 0.1759 0.8241 0.6700
O3 0.3333 0.6667 0.9387
O4 0.3519 0.1759 0.3300
O5 0.6481 0.8241 0.6700
O6 0.6667 0.3333 0.0613
O7 0.8241 0.1759 0.3300
O8 0.8241 0.6481 0.3300

The 6 most intense peaks (2θ from 10° to 90°), sorted by position:
two_theta, Rel. int.
19.2, 92
22.4, 38
30.2, 100
33.6, 55
41.2, 31
45.8, 43

=====

(6)
Diffraction record for Mg17Al11Zn. The powder diffraction line list is computed, not measured: it uses a PBE-relaxed structure and Cu Kα (λ = 1.5418 Å).
No peak broadening, texture or thermal motion is included.

Cell and atoms:
Lattice parameters (Å, degrees): 9.0971 9.0971 9.1034 109.44 109.44 109.47
Fractional positions:
Mg1 0.0000 0.0000 0.0000
Mg2 0.0010 0.0010 0.6551
Mg3 0.0011 0.3452 0.6552
Mg4 0.0007 0.6027 0.9718
Mg5 0.0021 0.3154 0.2594
Mg6 0.2863 0.6847 0.3401
Mg7 0.3154 0.0021 0.2594
Mg8 0.3165 0.6013 0.6559
Mg9 0.3452 0.0011 0.6552
Mg10 0.3968 0.3968 0.3709
Mg11 0.3995 0.7151 0.0543
Mg12 0.6013 0.3165 0.6559
Mg13 0.6027 0.0007 0.9718
Mg14 0.6548 0.6548 0.3108
Mg15 0.6847 0.2863 0.3401
Mg16 0.6851 0.6851 0.9428
Mg17 0.7151 0.3995 0.0543
Al1 0.0006 0.6344 0.4703
Al2 0.0018 0.8182 0.2905
Al3 0.1825 0.3672 0.0222
Al4 0.1857 0.8194 0.8409
Al5 0.3649 0.3649 0.8322
Al6 0.3672 0.1825 0.0222
Al7 0.6344 0.0006 0.4703
Al8 0.6339 0.8154 0.6558
Al9 0.8154 0.6339 0.6558
Al10 0.8182 0.0018 0.2905
Al11 0.8194 0.1857 0.8409
Zn1 0.1871 0.1871 0.4751

The 6 most intense peaks (2θ from 10° to 90°), sorted by position:
two_theta, Rel. int.
11.9, 9
36.3, 100
40.2, 33
42.1, 11
43.9, 20
65.2, 19

=====

(7)
Diffraction record for Sm3HfSb5. The powder diffraction line list is computed, not measured: it uses a PBE-relaxed structure and Cu Kα (λ = 1.5418 Å).
No peak broadening, texture or thermal motion is included.

Cell and atoms:
Lattice parameters (Å, degrees): 9.4118 9.4118 6.3422 90.00 90.00 120.00
Fractional positions:
Sm1 0.0000 0.3829 0.2500
Sm2 0.0000 0.6171 0.7500
Sm3 0.3829 0.0000 0.2500
Sm4 0.3829 0.3829 0.7500
Sm5 0.6171 0.0000 0.7500
Sm6 0.6171 0.6171 0.2500
Hf1 0.0000 0.0000 0.0000
Hf2 0.0000 0.0000 0.5000
Sb1 0.0000 0.2645 0.7500
Sb2 0.0000 0.7355 0.2500
Sb3 0.2645 0.0000 0.7500
Sb4 0.2645 0.2645 0.2500
Sb5 0.3333 0.6667 0.0000
Sb6 0.3333 0.6667 0.5000
Sb7 0.6667 0.3333 0.0000
Sb8 0.6667 0.3333 0.5000
Sb9 0.7355 0.0000 0.2500
Sb10 0.7355 0.7355 0.7500

The 6 most intense peaks (2θ from 10° to 90°), sorted by position:
two_theta, Rel. int.
32.3, 58
33.0, 81
34.1, 100
48.2, 28
59.6, 17
68.5, 19

=====

(8)
Diffraction record for Ho2Ga3Ni. The powder diffraction line list is computed, not measured: it uses a PBE-relaxed structure and Cu Kα (λ = 1.5418 Å).
No peak broadening, texture or thermal motion is included.

Cell and atoms:
Lattice parameters (Å, degrees): 5.5526 5.5526 7.0866 128.79 128.79 46.22
Fractional positions:
Ho1 0.0000 0.0000 0.0000
Ho2 0.0864 0.0864 0.5890
Ga1 0.3782 0.3782 0.1963
Ga2 0.6885 0.6885 0.9785
Ga3 0.7172 0.7172 0.4151
Ni1 0.3737 0.3737 0.5724

The 6 most intense peaks (2θ from 10° to 90°), sorted by position:
two_theta, Rel. int.
34.2, 28
34.6, 100
34.9, 59
35.2, 28
41.4, 42
41.7, 55

=====

(9)
Diffraction record for NdAgPb. The powder diffraction line list is computed, not measured: it uses a PBE-relaxed structure and Cu Kα (λ = 1.5418 Å).
No peak broadening, texture or thermal motion is included.

Cell and atoms:
Lattice parameters (Å, degrees): 4.9110 4.9110 7.7407 90.00 90.00 120.00
Fractional positions:
Nd1 0.0000 0.0000 0.0000
Nd2 0.0000 0.0000 0.5000
Ag1 0.3333 0.6667 0.1896
Ag2 0.6667 0.3333 0.6896
Pb1 0.3333 0.6667 0.7801
Pb2 0.6667 0.3333 0.2801

The 6 most intense peaks (2θ from 10° to 90°), sorted by position:
two_theta, Rel. int.
23.9, 28
31.2, 100
36.6, 89
40.9, 28
48.9, 29
62.6, 27

=====

(10)
Diffraction record for TeO4. The powder diffraction line list is computed, not measured: it uses a PBE-relaxed structure and Cu Kα (λ = 1.5418 Å).
No peak broadening, texture or thermal motion is included.

Cell and atoms:
Lattice parameters (Å, degrees): 5.7678 4.9645 5.2355 90.00 114.17 90.00
Fractional positions:
Te1 0.0000 0.0000 0.0000
Te2 0.0000 0.5000 0.5000
O1 0.1142 0.1804 0.3637
O2 0.1142 0.3196 0.8637
O3 0.3421 0.6480 0.6291
O4 0.3421 0.8520 0.1291
O5 0.6579 0.1480 0.8709
O6 0.6579 0.3520 0.3709
O7 0.8858 0.6804 0.1363
O8 0.8858 0.8196 0.6363

The 6 most intense peaks (2θ from 10° to 90°), sorted by position:
two_theta, Rel. int.
16.8, 100
25.9, 68
26.4, 65
34.3, 16
36.3, 22
40.2, 16

=====

(11)
Diffraction record for SrCe3. The powder diffraction line list is computed, not measured: it uses a PBE-relaxed structure and Cu Kα (λ = 1.5418 Å).
No peak broadening, texture or thermal motion is included.

Cell and atoms:
Lattice parameters (Å, degrees): 7.3732 7.3732 5.7686 90.00 90.00 120.00
Fractional positions:
Sr1 0.3333 0.6667 0.2500
Sr2 0.6667 0.3333 0.7500
Ce1 0.1527 0.3054 0.7500
Ce2 0.1527 0.8473 0.7500
Ce3 0.3054 0.1527 0.2500
Ce4 0.6946 0.8473 0.7500
Ce5 0.8473 0.1527 0.2500
Ce6 0.8473 0.6946 0.2500

The 6 most intense peaks (2θ from 10° to 90°), sorted by position:
two_theta, Rel. int.
27.9, 24
31.0, 25
32.0, 100
49.4, 18
55.8, 20
59.5, 20